# 1
Calculated XRD peak list of TiPd4Rh for Cu Kα, from a cell relaxed with GGA-PBE.
Lines closer than 0.1° are merged.

Cell and atoms:
```
12
Lattice="5.3661 0.0000 0.0000 0.0000 5.5209 0.0000 0.0000 0.0000 6.5639" Properties=species:S:1:pos:R:3 pbc="T T T"
Ti 0.0000 0.0000 0.0000
Ti 0.0000 2.7605 3.2820
Pd 1.1659 0.8292 4.3903
Pd 1.1659 4.6918 2.1736
Pd 1.7181 1.8651 1.7257
Pd 1.7181 3.6559 4.8383
Pd 3.6480 1.8651 4.8383
Pd 3.6480 3.6559 1.7257
Pd 4.2002 0.8292 2.1736
Pd 4.2002 4.6918 4.3903
Rh 0.0000 2.7605 0.0000
Rh 2.6830 0.0000 0.0000
```

Principal peaks in the range 2θ from 10° to 80°, by intensity:
2θ = 39.2°, I = 100.0
2θ = 43.6°, I = 46.1
2θ = 36.0°, I = 43.7
2θ = 39.8°, I = 39.6
2θ = 42.8°, I = 25.5
2θ = 41.3°, I = 24.6
2θ = 36.2°, I = 23.3
2θ = 46.2°, I = 20.3
2θ = 47.2°, I = 17.9
2θ = 27.2°, I = 16.5
2θ = 68.8°, I = 14.9
2θ = 53.9°, I = 13.3

# 2
Calculated XRD peak list of Ti7Pd2Rh2 for Cu Kα, from a cell relaxed with GGA-PBE.
Lines closer than 0.1° are merged.

Cell and atoms:
```
11
Lattice="4.9445 0.0000 0.0000 0.0000 6.4914 0.0000 -2.4580 0.0000 5.9305" Properties=species:S:1:pos:R:3 pbc="T T T"
Ti 0.0000 0.0000 0.0000
Ti -1.2290 1.6329 2.9652
Ti -1.2290 4.8585 2.9652
Ti 1.2433 1.6345 2.9652
Ti 2.4723 2.1114 0.0000
Ti 2.4723 4.3800 0.0000
Ti 1.2433 4.8568 2.9652
Pd 0.0040 3.2457 1.2751
Pd 2.4825 3.2457 4.6554
Rh 0.0094 0.0000 4.5780
Rh 2.4771 0.0000 1.3525
```

Principal peaks in the range 2θ from 10° to 80°, by intensity:
2θ = 23.8°, I = 100.0
2θ = 44.6°, I = 81.0
2θ = 32.1°, I = 75.7
2θ = 41.2°, I = 72.8
2θ = 46.2°, I = 54.2
2θ = 46.4°, I = 40.6
2θ = 39.5°, I = 38.2
2θ = 31.4°, I = 29.5
2θ = 36.3°, I = 21.4
2θ = 77.3°, I = 19.3
2θ = 62.7°, I = 16.7
2θ = 60.9°, I = 16.4

# 3
Calculated XRD peak list of Ti7Pd3Rh for Cu Kα, from a cell relaxed with GGA-PBE.
Lines closer than 0.1° are merged.

Cell and atoms:
```
11
Lattice="-2.3088 4.4187 4.5723 2.3088 -4.4187 4.5723 2.3088 4.4187 -4.5723" Properties=species:S:1:pos:R:3 pbc="T T T"
Ti 0.0000 0.0000 0.0000
Ti 2.3088 -1.5719 2.5495
Ti 2.3088 2.5281 0.0000
Ti 2.3088 1.5719 2.5495
Ti 0.0000 2.8468 2.0228
Ti 0.0000 1.8906 4.5723
Ti 0.0000 5.9906 2.0228
Pd 0.0000 0.0000 2.6730
Pd 0.0000 4.4187 0.0000
Pd 0.0000 0.0000 6.4716
Rh 2.3088 0.0000 0.0000
```

Principal peaks in the range 2θ from 10° to 80°, by intensity:
2θ = 41.4°, I = 100.0
2θ = 40.9°, I = 55.0
2θ = 39.0°, I = 50.1
2θ = 29.3°, I = 48.6
2θ = 20.1°, I = 35.9
2θ = 39.4°, I = 30.4
2θ = 72.2°, I = 25.9
2θ = 56.7°, I = 19.8
2θ = 31.0°, I = 16.1
2θ = 57.8°, I = 12.9
2θ = 58.1°, I = 11.0
2θ = 44.3°, I = 9.4

# 4
Calculated XRD peak list of Ti3PdRh5 for Cu Kα, from a cell relaxed with GGA-PBE.
Lines closer than 0.1° are merged.

Cell and atoms:
```
18
Lattice="7.5197 0.0000 0.0000 -3.7598 6.5123 0.0000 0.0000 0.0000 5.4245" Properties=species:S:1:pos:R:3 pbc="T T T"
Ti -1.2904 2.2350 1.3561
Ti -2.4695 4.2773 4.0683
Ti 2.5807 0.0000 1.3561
Ti 1.2904 2.2350 4.0683
Ti 4.9390 0.0000 4.0683
Ti 2.4695 4.2773 1.3561
Pd 0.0000 0.0000 0.0000
Pd 0.0000 0.0000 2.7122
Rh -1.2395 2.1469 4.0683
Rh -2.5204 4.3654 1.3561
Rh 2.4790 0.0000 4.0683
Rh 1.2395 2.1469 1.3561
Rh 0.0000 4.3415 0.0000
Rh 0.0000 4.3415 2.7122
Rh 3.7599 2.1707 0.0000
Rh 3.7599 2.1707 2.7122
Rh 5.0407 0.0000 1.3561
Rh 2.5204 4.3654 4.0683
```

Principal peaks in the range 2θ from 10° to 80°, by intensity:
2θ = 41.0°, I = 100.0
2θ = 41.6°, I = 96.0
2θ = 59.9°, I = 31.7
2θ = 75.5°, I = 31.1
2θ = 28.9°, I = 19.7
2θ = 75.9°, I = 15.2
2θ = 69.3°, I = 6.7
2θ = 23.7°, I = 5.7
2θ = 51.4°, I = 4.3
2θ = 68.2°, I = 3.8
2θ = 56.5°, I = 3.2
2θ = 54.1°, I = 2.5

- What is the formula in the third record?
  Ti7Pd3Rh

Repeat the first record exactly.
Calculated XRD peak list of TiPd4Rh for Cu Kα, from a cell relaxed with GGA-PBE.
Lines closer than 0.1° are merged.

Cell and atoms:
```
12
Lattice="5.3661 0.0000 0.0000 0.0000 5.5209 0.0000 0.0000 0.0000 6.5639" Properties=species:S:1:pos:R:3 pbc="T T T"
Ti 0.0000 0.0000 0.0000
Ti 0.0000 2.7605 3.2820
Pd 1.1659 0.8292 4.3903
Pd 1.1659 4.6918 2.1736
Pd 1.7181 1.8651 1.7257
Pd 1.7181 3.6559 4.8383
Pd 3.6480 1.8651 4.8383
Pd 3.6480 3.6559 1.7257
Pd 4.2002 0.8292 2.1736
Pd 4.2002 4.6918 4.3903
Rh 0.0000 2.7605 0.0000
Rh 2.6830 0.0000 0.0000
```

Principal peaks in the range 2θ from 10° to 80°, by intensity:
2θ = 39.2°, I = 100.0
2θ = 43.6°, I = 46.1
2θ = 36.0°, I = 43.7
2θ = 39.8°, I = 39.6
2θ = 42.8°, I = 25.5
2θ = 41.3°, I = 24.6
2θ = 36.2°, I = 23.3
2θ = 46.2°, I = 20.3
2θ = 47.2°, I = 17.9
2θ = 27.2°, I = 16.5
2θ = 68.8°, I = 14.9
2θ = 53.9°, I = 13.3